The following is a computed powder diffractogram of K2MnCd. It was derived from a DFT-relaxed cell (GGA-PBE, Alexandria), using Cu Kα.
Peak positions follow from Bragg's law for the DFT cell and can differ from measured ones.

Principal peaks in the range 5 to 70 degrees two-theta, sorted by position:
- hkl 0 0 1, 10.222 Å, 8.7°, rel. 100
- hkl 0 0 2, 5.111 Å, 17.4°, rel. 9
- hkl 0 0 3, 3.407 Å, 26.2°, rel. 17
- hkl 1 0 2, 3.073 Å, 29.1°, rel. 27
- hkl 1 1 0, 2.719 Å, 32.9°, rel. 30
- hkl 1 1 1, 2.628 Å, 34.1°, rel. 16
- hkl 1 0 3, 2.551 Å, 35.2°, rel. 24
- hkl 1 1 3, 2.126 Å, 42.5°, rel. 19
- hkl 2 0 0, 1.923 Å, 47.3°, rel. 10
- hkl 2 1 3, 1.535 Å, 60.3°, rel. 10

Crystal structure
Cell: 3.8451 3.8451 10.2219 Å, 90.00 90.00 90.00°
Space group P4mm (No. 99)
Unique sites:
1 K 0.0000 0.0000 0.0000
2 K 0.5000 0.5000 0.3931
3 Mn 0.0000 0.0000 0.6606
4 Cd 0.5000 0.5000 0.7401